Entry 1:
Theoretical powder diffraction line list of V3Ni20B6 for Cu Ka, from a cell relaxed with GGA-PBE.
Intensities are scaled so that the largest is 100.

Most intense lines, 2θ from 5° to 70°, sorted by position:
| 2θ (°) | I (rel.) |
| --- | --- |
| 29.71 | 3 |
| 34.44 | 8 |
| 38.66 | 21 |
| 42.52 | 23 |
| 45.23 | 100 |
| 49.50 | 19 |
| 51.93 | 31 |
| 52.73 | 14 |
| 58.07 | 2 |
| 58.80 | 7 |

Crystal structure
Unit cell a=10.4165 b=10.4165 c=10.4165 alpha=90.00 beta=90.00 gamma=90.00
Space group Fm-3m (No. 225)
Asymmetric unit:
V1 0.0000 0.0000 0.0000 x4
V2 0.2500 0.2500 0.2500 x8
Ni1 0.0000 0.1701 0.1701 x48
Ni2 0.1184 0.1184 0.3816 x32
B1 0.0000 0.0000 0.2698 x24

Entry 2:
Theoretical powder diffraction line list of SmSn2 for Cu Ka, from a cell relaxed with GGA-PBE.
Intensities are scaled so that the largest is 100.

Most intense lines, 2θ from 5° to 70°, sorted by position:
| 2θ (°) | I (rel.) |
| --- | --- |
| 30.59 | 3 |
| 32.53 | 100 |
| 35.59 | 2 |
| 35.93 | 16 |
| 38.61 | 33 |
| 53.76 | 21 |
| 55.75 | 12 |
| 62.44 | 11 |
| 66.05 | 27 |
| 68.12 | 11 |

Crystal structure
Unit cell a=4.6613 b=14.9976 c=4.6666 alpha=90.00 beta=90.00 gamma=90.00
Space group Cmmm (No. 65)
Asymmetric unit:
Sm1 0.0000 0.1483 0.0000 x4
Sn1 0.0000 0.0000 0.5000 x2
Sn2 0.0000 0.3269 0.5000 x4
Sn3 0.0000 0.5000 0.0000 x2

Entry 3:
Theoretical powder diffraction line list of HfMg14Zr for Cu Ka, from a cell relaxed with GGA-PBE.
Intensities are scaled so that the largest is 100.

Most intense lines, 2θ from 5° to 70°, sorted by position:
| 2θ (°) | I (rel.) |
| --- | --- |
| 8.64 | 100 |
| 15.74 | 28 |
| 17.33 | 22 |
| 17.99 | 41 |
| 23.50 | 22 |
| 32.57 | 28 |
| 35.07 | 33 |
| 36.44 | 47 |
| 37.12 | 89 |
| 48.60 | 19 |

Crystal structure
Unit cell a=10.2346 b=6.3022 c=11.2570 alpha=90.00 beta=90.00 gamma=90.00
Space group Amm2 (No. 38)
Asymmetric unit:
Hf1 0.0000 0.0000 0.0000 x2
Mg1 0.0000 0.2500 0.2514 x4
Mg2 0.2488 0.0000 0.1663 x4
Mg3 0.2492 0.0000 0.6664 x4
Mg4 0.2494 0.2501 0.4178 x8
Mg5 0.5000 0.0000 0.0009 x2
Mg6 0.5000 0.0000 0.5009 x2
Mg7 0.5000 0.2499 0.2506 x4
Zr1 0.0000 0.0000 0.5004 x2